Simulated XRD peak list
Compound: Tb2YInN4
Radiation: Cu Kα (weighted mean of Kα1 and Kα2)
Structure: a structure optimized by DFT (PBE)
Lines closer than 0.1° are merged.

Cell and atoms:
Cell: 5.9953 3.4657 6.0070 Å, 90.00 110.53 90.00°
Space group P2/m (No. 10)
Symmetry-distinct sites (fractional):
Tb (0.0000, 0.0000, 0.0000) [1 per cell]
Tb (0.0000, 0.5000, 0.5000) [1 per cell]
Y (0.5000, 0.0000, 0.5000) [1 per cell]
In (0.5000, 0.5000, 0.0000) [1 per cell]
N (0.2441, 0.5000, 0.2570) [2 per cell]
N (0.2518, 0.0000, 0.7512) [2 per cell]

Main lines, low angle first (2θ from 10° to 90°):
| h k l | 2θ (°) | I/Imax |
| --- | --- | --- |
| 1 1 -1 | 31.6 | 100 |
| 2 0 0 | 31.8 | 98 |
| 2 0 -2 | 36.4 | 52 |
| 1 1 1 | 36.9 | 100 |
| 0 2 0 | 52.8 | 85 |
| 2 0 2 | 53.6 | 16 |
| 3 1 -3 | 62.5 | 15 |
| 2 2 0 | 63.0 | 29 |
| 3 1 1 | 63.5 | 28 |
| 2 2 -2 | 65.9 | 17 |